# TbHo2Tm4
Simulated powder X-ray diffraction pattern, Cu Kα (λ = 1.5418 Å). Input: a DFT-relaxed cell (GGA-PBE, Alexandria).
Neutral-atom scattering factors, no anomalous dispersion.

Cell and atoms:
```
7
Lattice="3.0816 -1.7794 0.0000 3.0816 1.7794 0.0000 -2.0469 0.0000 19.5445" Properties=species:S:1:pos:R:3 pbc="T T T"
Tb 0.0000 0.0000 0.0000
Ho 4.1211 0.0000 8.3445
Ho 4.1179 0.0000 13.9319
Tm 0.0100 0.0000 5.5617
Tm 0.0118 0.0000 11.1303
Tm 2.0615 0.0000 16.7301
Tm 4.1130 0.0000 2.8099
```

Most intense lines, 2θ from 10° to 80°, low angle first:
- 29.01°, I = 35
- 32.06°, I = 52
- 32.83°, I = 100
- 33.59°, I = 96
- 51.35°, I = 42
- 57.14°, I = 20
- 58.61°, I = 20
- 61.83°, I = 48